Diffraction record for Tl5In2Hg. The powder diffraction line list is theoretical, not measured: it uses a PBE-relaxed structure and copper Kα.
Lines closer than 0.1° are merged.

Principal peaks in the range 2θ = 10–90°, low angle first:
h k l, 2θ (°), I/Imax
0 4 1, 32.52, 1000
2 0 1, 32.81, 494
0 8 0, 46.22, 90
4 0 0, 47.00, 86
0 0 2, 47.18, 93
2 8 1, 57.83, 182
4 4 1, 58.34, 177
2 4 2, 58.45, 188
0 8 2, 68.18, 57
0 12 1, 76.87, 72

Atomic structure:
a b c (Å): 7.7336 15.7145 3.8529
angles (deg): 90.00 90.00 90.00
Space group Pbam (No. 55)
Inequivalent atoms, fractional coordinates:
1 Tl 0.0000 0.0000 0.0000 [2 per cell]
2 Tl 0.0073 0.2403 0.0000 [4 per cell]
3 Tl 0.2364 0.3785 0.5000 [4 per cell]
4 In 0.2279 0.6189 0.5000 [4 per cell]
5 Hg 0.0000 0.5000 0.0000 [2 per cell]